Record 1
Starting from DFT lattice parameters and positions (PBE), the powder X-ray diffraction pattern of TlCo2Ir was simulated for copper Kα.
Kinematic intensities with the Lorentz-polarization factor, no thermal factor.

Peak list (6 most intense, 2θ = 10–90°, by angle)
2theta, intensity
28.96, 34
41.42, 100
51.33, 10
60.01, 17
67.99, 14
75.54, 34

Cell and atoms:
```
data_TlCo2Ir
_chemical_formula_sum 'Tl4 Co8 Ir4'
_space_group_name_H-M_alt 'P 1'
_space_group_IT_number 1
_space_group_name_Hall 'P 1'
_cell_length_a 6.1664
_cell_length_b 6.1664
_cell_length_c 6.1664
_cell_angle_alpha 90.00
_cell_angle_beta 90.00
_cell_angle_gamma 90.00
loop_
_atom_site_label
_atom_site_type_symbol
_atom_site_fract_x
_atom_site_fract_y
_atom_site_fract_z
_atom_site_occupancy
Tl1 Tl 0.0000 0.0000 0.0000 1
Tl2 Tl 0.0000 0.5000 0.5000 1
Tl3 Tl 0.5000 0.0000 0.5000 1
Tl4 Tl 0.5000 0.5000 0.0000 1
Co1 Co 0.2500 0.2500 0.2500 1
Co2 Co 0.2500 0.2500 0.7500 1
Co3 Co 0.2500 0.7500 0.2500 1
Co4 Co 0.2500 0.7500 0.7500 1
Co5 Co 0.7500 0.2500 0.2500 1
Co6 Co 0.7500 0.2500 0.7500 1
Co7 Co 0.7500 0.7500 0.2500 1
Co8 Co 0.7500 0.7500 0.7500 1
Ir1 Ir 0.0000 0.0000 0.5000 1
Ir2 Ir 0.0000 0.5000 0.0000 1
Ir3 Ir 0.5000 0.0000 0.0000 1
Ir4 Ir 0.5000 0.5000 0.5000 1
```

=====

Record 2
Starting from DFT lattice parameters and positions (PBE), the powder X-ray diffraction pattern of HoCd6Hg8 was simulated for copper Kα.
Kinematic intensities with the Lorentz-polarization factor, no thermal factor.

Peak list (8 most intense, 2θ = 10–90°, by angle)
2theta, intensity
26.21, 47
31.01, 100
32.27, 45
32.85, 25
37.39, 27
37.95, 79
39.54, 27
42.03, 52

Cell and atoms:
```
data_HoCd6Hg8
_chemical_formula_sum 'Ho1 Cd6 Hg8'
_space_group_name_H-M_alt 'P 1'
_space_group_IT_number 1
_space_group_name_Hall 'P 1'
_cell_length_a 7.3437
_cell_length_b 7.3437
_cell_length_c 7.3437
_cell_angle_alpha 81.74
_cell_angle_beta 81.74
_cell_angle_gamma 81.74
loop_
_atom_site_label
_atom_site_type_symbol
_atom_site_fract_x
_atom_site_fract_y
_atom_site_fract_z
_atom_site_occupancy
Ho1 Ho 0.0000 0.0000 0.0000 1
Cd1 Cd 0.2040 0.5825 0.4260 1
Cd2 Cd 0.4175 0.5740 0.7960 1
Cd3 Cd 0.4260 0.2040 0.5825 1
Cd4 Cd 0.5740 0.7960 0.4175 1
Cd5 Cd 0.5825 0.4260 0.2040 1
Cd6 Cd 0.7960 0.4175 0.5740 1
Hg1 Hg 0.0768 0.3875 0.8288 1
Hg2 Hg 0.1712 0.9232 0.6125 1
Hg3 Hg 0.2214 0.2214 0.2214 1
Hg4 Hg 0.3875 0.8288 0.0768 1
Hg5 Hg 0.6125 0.1712 0.9232 1
Hg6 Hg 0.7786 0.7786 0.7786 1
Hg7 Hg 0.8288 0.0768 0.3875 1
Hg8 Hg 0.9232 0.6125 0.1712 1
```

=====

Record 3
Starting from DFT lattice parameters and positions (PBE), the powder X-ray diffraction pattern of LiPaNb2N4 was simulated for copper Kα.
Kinematic intensities with the Lorentz-polarization factor, no thermal factor.

Peak list (8 most intense, 2θ = 10–90°, by angle)
2theta, intensity
21.94, 100
34.18, 94
35.32, 32
39.04, 27
39.99, 51
46.08, 30
57.12, 34
68.94, 36

Cell and atoms:
```
data_LiPaNb2N4
_chemical_formula_sum 'Li2 Pa2 Nb4 N8'
_space_group_name_H-M_alt 'P 1'
_space_group_IT_number 1
_space_group_name_Hall 'P 1'
_cell_length_a 4.5087
_cell_length_b 4.5087
_cell_length_c 9.2288
_cell_angle_alpha 90.00
_cell_angle_beta 90.00
_cell_angle_gamma 90.00
loop_
_atom_site_label
_atom_site_type_symbol
_atom_site_fract_x
_atom_site_fract_y
_atom_site_fract_z
_atom_site_occupancy
Li1 Li 0.0000 0.0000 0.0000 1
Li2 Li 0.5000 0.5000 0.5000 1
Pa1 Pa 0.0000 0.0000 0.5000 1
Pa2 Pa 0.5000 0.5000 0.0000 1
Nb1 Nb 0.0000 0.5000 0.2500 1
Nb2 Nb 0.0000 0.5000 0.7500 1
Nb3 Nb 0.5000 0.0000 0.2500 1
Nb4 Nb 0.5000 0.0000 0.7500 1
N1 N 0.0000 0.0000 0.2433 1
N2 N 0.0000 0.0000 0.7567 1
N3 N 0.0000 0.5000 0.0000 1
N4 N 0.0000 0.5000 0.5000 1
N5 N 0.5000 0.0000 0.0000 1
N6 N 0.5000 0.0000 0.5000 1
N7 N 0.5000 0.5000 0.2567 1
N8 N 0.5000 0.5000 0.7433 1
```